# 1
Starting from a GGA-PBE-relaxed structure, the X-ray diffraction stick pattern of Li2B3C3 was computed for CuKα.

Structural model:
Cell: 2.723 2.723 20.962 Å, 90.00 90.00 120.00°
Fractional positions:
Li: 0.000 0.000 0.000
Li: 0.000 0.000 0.172
Li: 0.000 0.000 0.500
Li: 0.000 0.000 0.828
B: 0.333 0.667 0.257
B: 0.333 0.667 0.585
B: 0.333 0.667 0.915
B: 0.667 0.333 0.085
B: 0.667 0.333 0.415
B: 0.667 0.333 0.743
C: 0.333 0.667 0.084
C: 0.333 0.667 0.418
C: 0.333 0.667 0.746
C: 0.667 0.333 0.254
C: 0.667 0.333 0.582
C: 0.667 0.333 0.916

The 8 most intense peaks (2θ = 10–90°), by angle:
Position (°2θ), Rel. int.
25.50, 100
38.16, 10
40.37, 5
46.46, 50
52.38, 15
68.98, 18
74.85, 10
87.27, 6



# 2
Starting from a GGA-PBE-relaxed structure, the X-ray diffraction stick pattern of FeTcPtI2 was computed for CuKα.

Structural model:
Cell: 5.235 5.235 4.611 Å, 90.00 90.00 90.00°
Fractional positions:
Fe: 0.000 0.000 0.000
Tc: 0.000 0.000 0.500
Pt: 0.500 0.500 0.000
I: 0.000 0.500 0.500
I: 0.500 0.000 0.500

The 8 most intense peaks (2θ = 10–90°), by angle:
Position (°2θ), Rel. int.
25.75, 54
30.98, 100
34.26, 87
39.07, 30
43.34, 27
49.23, 31
52.92, 49
59.31, 31



# 3
Starting from a GGA-PBE-relaxed structure, the X-ray diffraction stick pattern of AlCd2PbO6 was computed for CuKα.

Structural model:
Cell: 5.727 5.727 5.727 Å, 57.73 57.73 57.73°
Fractional positions:
Al: 0.000 0.000 0.000
Cd: 0.224 0.224 0.224
Cd: 0.716 0.716 0.716
Pb: 0.495 0.495 0.495
O: 0.121 0.798 0.346
O: 0.254 0.663 0.877
O: 0.346 0.121 0.798
O: 0.663 0.877 0.254
O: 0.798 0.346 0.121
O: 0.877 0.254 0.663

The 8 most intense peaks (2θ = 10–90°), by angle:
Position (°2θ), Rel. int.
19.55, 50
31.27, 100
32.38, 91
37.63, 23
45.64, 44
50.64, 18
57.06, 39
57.76, 25